Entry 1:
This entry pairs a crystal structure of HfTi6Co with its computed X-ray powder pattern. Radiation: Cu Ka. Structure: a crystal structure in Alexandria, relaxed with PBE.

Top 10 peaks for 2θ from 15° to 90°, most intense first:
(hkl), Position (°2θ), Rel. int.
2 2 0, 37.5, 100
3 1 -2, 39.2, 78
1 1 0, 18.5, 46
3 3 -2, 48.3, 41
0 4 0, 38.7, 36
0 2 2, 51.7, 34
1 3 -1, 33.6, 31
2 0 -2, 34.2, 29
0 2 0, 19.1, 28
1 1 1, 37.7, 21

Structure:
abc: 7.656 9.309 5.241
angles: 90.00 133.11 90.00
Space group C2/m (No. 12)
Unique sites:
Hf 0.000 0.000 0.000
Ti 0.000 0.500 0.260
Ti 0.246 0.213 0.746
Co 0.000 0.000 0.500

***

Entry 2:
This entry pairs a crystal structure of SrTaBe4 with its computed X-ray powder pattern. Radiation: Cu Ka. Structure: a crystal structure in Alexandria, relaxed with PBE.

Top 10 peaks for 2θ from 15° to 90°, most intense first:
(hkl), Position (°2θ), Rel. int.
1 1 1, 22.2, 100
2 2 0, 36.7, 86
3 1 1, 43.3, 67
4 2 2, 66.1, 31
3 3 1, 58.1, 23
3 3 3, 70.7, 21
5 3 1, 82.4, 17
6 2 0, 89.5, 14
4 0 0, 52.9, 13
4 4 0, 78.1, 11

Structure:
abc: 6.923 6.923 6.923
angles: 90.00 90.00 90.00
Space group F-43m (No. 216)
Unique sites:
Sr 0.000 0.000 0.000
Ta 0.250 0.250 0.250
Be 0.117 0.117 0.617

***

Entry 3:
This entry pairs a crystal structure of LiPuPb6 with its computed X-ray powder pattern. Radiation: Cu Ka. Structure: a crystal structure in Alexandria, relaxed with PBE.

Top 10 peaks for 2θ from 15° to 90°, most intense first:
(hkl), Position (°2θ), Rel. int.
0 1 2, 31.5, 100
2 0 2, 32.1, 95
2 1 0, 36.2, 70
0 0 4, 38.2, 30
2 1 -4, 53.6, 23
2 1 4, 53.7, 23
2 2 2, 61.9, 15
2 2 -2, 61.9, 15
4 1 -2, 62.9, 14
4 1 2, 63.0, 14

Structure:
abc: 6.921 3.557 9.416
angles: 90.00 90.15 90.00
Space group P2/m (No. 10)
Unique sites:
Li 0.000 0.000 0.000
Pu 0.500 0.000 0.500
Pb 0.000 0.000 0.500
Pb 0.243 0.500 0.242
Pb 0.244 0.500 0.757
Pb 0.500 0.000 0.000

***

Entry 4:
This entry pairs a crystal structure of NbNiGeRu with its computed X-ray powder pattern. Radiation: Cu Ka. Structure: a crystal structure in Alexandria, relaxed with PBE.

Top 10 peaks for 2θ from 15° to 90°, most intense first:
(hkl), Position (°2θ), Rel. int.
1 1 2, 40.5, 100
2 0 0, 46.5, 33
3 1 2, 82.2, 24
2 0 4, 69.3, 19
0 0 4, 48.3, 15
1 1 6, 84.8, 11
2 2 4, 87.7, 10
2 2 0, 67.9, 10
1 0 1, 25.7, 6
2 1 1, 53.9, 1

Structure:
abc: 3.903 3.903 7.535
angles: 90.00 90.00 90.00
Space group I-4m2 (No. 119)
Unique sites:
Nb 0.000 0.000 0.000
Ni 0.000 0.500 0.750
Ge 0.000 0.000 0.500
Ru 0.000 0.500 0.250